Structure and calculated X-ray powder pattern of Rb4V5CdClO15 (the PBE+U geometry in the Materials Project; CuKα).
Intensities are scaled so that the largest is 100.

Largest 10 diffraction maxima, in order of rising 2θ, 2θ = 10–80°:
two_theta, I_rel, (hkl)
24.58, 32.4, 2 0 1
26.42, 100.0, 1 2 1
27.16, 11.6, 2 2 0
30.44, 38.9, 3 1 0
30.91, 22.1, 0 0 2
37.90, 9.4, 2 1 2
40.03, 10.5, 1 4 0
43.58, 10.1, 2 4 0
43.93, 19.4, 3 1 2
52.30, 13.0, 1 2 3

Cell and atoms:
Lattice parameters (Å, degrees): 9.287 9.287 5.786 90.00 90.00 90.00
Fractional coordinates of all 26 atoms:
Rb: 0.165 0.676 0.000
Rb: 0.324 0.165 0.000
Rb: 0.676 0.835 0.000
Rb: 0.835 0.324 0.000
V: 0.143 0.382 0.523
V: 0.382 0.857 0.523
V: 0.500 0.500 0.551
V: 0.618 0.143 0.523
V: 0.857 0.618 0.523
Cd: 0.000 0.000 0.552
Cl: 0.000 0.000 0.106
O: 0.000 0.500 0.634
O: 0.112 0.213 0.624
O: 0.143 0.385 0.235
O: 0.213 0.888 0.624
O: 0.310 0.446 0.638
O: 0.385 0.857 0.235
O: 0.446 0.690 0.638
O: 0.500 0.000 0.634
O: 0.500 0.500 0.270
O: 0.554 0.310 0.638
O: 0.615 0.143 0.235
O: 0.690 0.554 0.638
O: 0.787 0.112 0.624
O: 0.857 0.615 0.235
O: 0.888 0.787 0.624